The following is a calculated powder diffractogram of Ho2MgS4. It was derived from a crystal structure in the Materials Project, relaxed with GGA-PBE, using Cu Kα.

Structure:
Unit cell a=12.628 b=7.537 c=12.765 alpha=90.00 beta=90.00 gamma=90.00
Fractional coordinates of all 56 atoms:
Ho (0.109, 0.116, 0.000)
Ho (0.127, 0.617, 0.359)
Ho (0.134, 0.370, 0.693)
Ho (0.134, 0.870, 0.694)
Ho (0.366, 0.370, 0.193)
Ho (0.366, 0.870, 0.194)
Ho (0.373, 0.617, 0.859)
Ho (0.391, 0.116, 0.500)
Ho (0.609, 0.884, 0.000)
Ho (0.627, 0.383, 0.359)
Ho (0.634, 0.130, 0.694)
Ho (0.634, 0.630, 0.693)
Ho (0.866, 0.130, 0.194)
Ho (0.866, 0.630, 0.193)
Ho (0.873, 0.383, 0.859)
Ho (0.891, 0.884, 0.500)
Mg (0.111, 0.617, 0.994)
Mg (0.126, 0.120, 0.364)
Mg (0.374, 0.120, 0.864)
Mg (0.389, 0.617, 0.494)
Mg (0.611, 0.383, 0.994)
Mg (0.626, 0.880, 0.364)
Mg (0.874, 0.880, 0.864)
Mg (0.889, 0.383, 0.494)
S (0.013, 0.122, 0.808)
S (0.022, 0.626, 0.815)
S (0.032, 0.622, 0.555)
S (0.043, 0.125, 0.549)
S (0.212, 0.119, 0.183)
S (0.213, 0.619, 0.167)
S (0.232, 0.869, 0.910)
S (0.233, 0.366, 0.909)
S (0.267, 0.366, 0.409)
S (0.268, 0.869, 0.410)
S (0.287, 0.619, 0.667)
S (0.288, 0.119, 0.683)
S (0.457, 0.125, 0.049)
S (0.468, 0.622, 0.055)
S (0.478, 0.626, 0.315)
S (0.487, 0.122, 0.308)
S (0.513, 0.878, 0.808)
S (0.522, 0.374, 0.815)
S (0.532, 0.378, 0.555)
S (0.543, 0.875, 0.549)
S (0.712, 0.881, 0.183)
S (0.713, 0.381, 0.167)
S (0.732, 0.131, 0.910)
S (0.733, 0.634, 0.909)
S (0.767, 0.634, 0.409)
S (0.768, 0.131, 0.410)
S (0.787, 0.381, 0.667)
S (0.788, 0.881, 0.683)
S (0.957, 0.875, 0.049)
S (0.968, 0.378, 0.055)
S (0.978, 0.374, 0.315)
S (0.987, 0.878, 0.308)

Top 6 peaks for 2θ from 10° to 90°, sorted by position:
- 19.60°, d 4.530, I 38, hkl 2 1 1
- 25.24°, d 3.529, I 100, hkl 2 0 3
- 32.66°, d 2.742, I 66, hkl 3 2 1
- 34.91°, d 2.570, I 55, hkl 3 2 2
- 43.41°, d 2.085, I 34, hkl 1 2 5
- 48.22°, d 1.887, I 45, hkl 6 0 3